Diffraction record for NaSrPaS4. The powder XRD pattern is calculated, not measured: it uses a crystal structure in Alexandria, relaxed with PBE and Cu Kα (λ = 1.5418 Å).
Kinematic intensities with the Lorentz-polarization factor, no thermal factor.

Crystal structure
Cell lengths 5.262, 5.262, 14.859 Å; angles 90.00, 90.00, 90.00 degrees
Fractional coordinates of all 14 atoms:
Na 0.000 0.000 0.000
Na 0.500 0.500 0.500
Sr 0.000 0.000 0.719
Sr 0.500 0.500 0.219
Pa 0.000 0.000 0.356
Pa 0.500 0.500 0.856
S 0.000 0.000 0.184
S 0.000 0.000 0.527
S 0.000 0.500 0.349
S 0.000 0.500 0.849
S 0.500 0.000 0.349
S 0.500 0.000 0.849
S 0.500 0.500 0.027
S 0.500 0.500 0.684

The 10 most intense peaks (2θ from 10° to 90°), sorted by position:
d_spacing  Position (°2θ)  I/Imax
7.430  11.91  100
4.960  17.88  97
3.720  23.92  86
3.607  24.68  81
2.631  34.08  62
2.588  34.67  51
2.479  36.24  48
2.126  42.53  41
1.845  49.40  38
1.804  50.61  40

Diffraction record for Cs2ZrAgBr6. The powder XRD pattern is calculated, not measured: it uses a crystal structure in Alexandria, relaxed with PBE and Cu Kα (λ = 1.5418 Å).
Kinematic intensities with the Lorentz-polarization factor, no thermal factor.

Crystal structure
Cell lengths 13.907, 13.907, 13.907 Å; angles 33.18, 33.18, 33.18 degrees
Fractional coordinates of all 20 atoms:
Cs 0.124 0.124 0.124
Cs 0.293 0.293 0.293
Cs 0.707 0.707 0.707
Cs 0.876 0.876 0.876
Zr 0.000 0.000 0.000
Zr 0.500 0.500 0.500
Ag 0.416 0.416 0.416
Ag 0.584 0.584 0.584
Br 0.130 0.627 0.627
Br 0.202 0.202 0.717
Br 0.202 0.717 0.202
Br 0.283 0.798 0.798
Br 0.373 0.373 0.870
Br 0.373 0.870 0.373
Br 0.627 0.130 0.627
Br 0.627 0.627 0.130
Br 0.717 0.202 0.202
Br 0.798 0.283 0.798
Br 0.798 0.798 0.283
Br 0.870 0.373 0.373

The 10 most intense peaks (2θ from 10° to 90°), sorted by position:
d_spacing  Position (°2θ)  I/Imax
3.971  22.39  36
3.282  27.17  24
3.152  28.32  60
2.934  30.46  100
2.591  34.62  29
2.178  41.47  20
1.986  45.69  53
1.922  47.31  24
1.699  53.97  20
1.265  75.10  22

Diffraction record for AcTlO2. The powder XRD pattern is calculated, not measured: it uses a crystal structure in Alexandria, relaxed with PBE and Cu Kα (λ = 1.5418 Å).
Kinematic intensities with the Lorentz-polarization factor, no thermal factor.

Crystal structure
Cell lengths 3.895, 3.895, 20.799 Å; angles 90.00, 90.00, 120.00 degrees
Fractional coordinates of all 12 atoms:
Ac 0.000 0.000 0.000
Ac 0.333 0.667 0.667
Ac 0.667 0.333 0.333
Tl 0.000 0.000 0.815
Tl 0.333 0.667 0.482
Tl 0.667 0.333 0.148
O 0.000 0.000 0.405
O 0.000 0.000 0.623
O 0.333 0.667 0.071
O 0.333 0.667 0.290
O 0.667 0.333 0.738
O 0.667 0.333 0.957

The 10 most intense peaks (2θ from 10° to 90°), sorted by position:
d_spacing  Position (°2θ)  I/Imax
3.466  25.70  50
3.329  26.78  100
3.208  27.81  24
2.830  31.62  41
2.620  34.23  96
2.230  40.46  20
1.947  46.64  43
1.770  51.63  25
1.698  54.01  41
1.649  55.73  22

Diffraction record for Cs4RbSe. The powder XRD pattern is calculated, not measured: it uses a crystal structure in Alexandria, relaxed with PBE and Cu Kα (λ = 1.5418 Å).
Kinematic intensities with the Lorentz-polarization factor, no thermal factor.

Crystal structure
Cell lengths 13.605, 13.607, 11.479 Å; angles 90.00, 90.00, 90.00 degrees
Fractional coordinates of all 24 atoms:
Cs 0.001 0.231 0.085
Cs 0.198 0.699 0.713
Cs 0.200 0.299 0.711
Cs 0.246 0.000 0.913
Cs 0.254 0.500 0.087
Cs 0.300 0.799 0.289
Cs 0.302 0.199 0.287
Cs 0.499 0.731 0.915
Cs 0.501 0.269 0.915
Cs 0.698 0.801 0.287
Cs 0.700 0.201 0.289
Cs 0.746 0.500 0.087
Cs 0.754 0.000 0.913
Cs 0.800 0.701 0.711
Cs 0.802 0.301 0.713
Cs 0.999 0.769 0.085
Rb 0.000 0.000 0.502
Rb 0.000 0.500 0.423
Rb 0.500 0.000 0.577
Rb 0.500 0.500 0.498
Se 0.249 0.750 0.001
Se 0.251 0.250 0.999
Se 0.749 0.750 0.999
Se 0.751 0.250 0.001

The 10 most intense peaks (2θ from 10° to 90°), sorted by position:
d_spacing  Position (°2θ)  I/Imax
6.803  13.01  64
4.437  20.01  82
4.218  21.06  100
4.175  21.28  73
3.684  24.16  50
3.585  24.84  55
3.401  26.20  77
3.335  26.73  42
2.465  36.45  41
2.218  40.68  39

Diffraction record for SmSi2PdRh. The powder XRD pattern is calculated, not measured: it uses a crystal structure in Alexandria, relaxed with PBE and Cu Kα (λ = 1.5418 Å).
Kinematic intensities with the Lorentz-polarization factor, no thermal factor.

Crystal structure
Cell lengths 4.110, 4.110, 10.150 Å; angles 90.00, 90.00, 90.00 degrees
Fractional coordinates of all 10 atoms:
Sm 0.000 0.000 0.000
Sm 0.500 0.500 0.500
Si 0.000 0.000 0.383
Si 0.000 0.000 0.617
Si 0.500 0.500 0.117
Si 0.500 0.500 0.883
Pd 0.000 0.500 0.750
Pd 0.500 0.000 0.250
Rh 0.000 0.500 0.250
Rh 0.500 0.000 0.750

The 10 most intense peaks (2θ from 10° to 90°), sorted by position:
d_spacing  Position (°2θ)  I/Imax
3.809  23.35  24
2.612  34.33  27
2.538  35.37  18
2.522  35.60  100
2.055  44.07  35
1.615  57.02  13
1.597  57.73  17
1.462  63.64  16
1.453  64.09  11
1.259  75.52  22

Diffraction record for Ac4In5Au2. The powder XRD pattern is calculated, not measured: it uses a crystal structure in Alexandria, relaxed with PBE and Cu Kα (λ = 1.5418 Å).
Kinematic intensities with the Lorentz-polarization factor, no thermal factor.

Crystal structure
Cell lengths 8.172, 4.017, 10.475 Å; angles 90.00, 94.81, 90.00 degrees
Fractional coordinates of all 11 atoms:
Ac 0.176 0.000 0.369
Ac 0.248 0.000 0.942
Ac 0.752 0.000 0.058
Ac 0.824 0.000 0.631
In 0.190 0.500 0.655
In 0.453 0.500 0.196
In 0.500 0.500 0.500
In 0.547 0.500 0.804
In 0.810 0.500 0.345
Au 0.066 0.500 0.137
Au 0.934 0.500 0.863

The 10 most intense peaks (2θ from 10° to 90°), sorted by position:
d_spacing  Position (°2θ)  I/Imax
3.018  29.60  100
2.915  30.67  97
2.860  31.28  93
2.716  32.98  58
2.630  34.09  57
2.573  34.88  59
2.548  35.22  55
2.542  35.31  61
1.766  51.76  55
1.577  58.54  54

Diffraction record for ReAg2Rh. The powder XRD pattern is calculated, not measured: it uses a crystal structure in Alexandria, relaxed with PBE and Cu Kα (λ = 1.5418 Å).
Kinematic intensities with the Lorentz-polarization factor, no thermal factor.

Crystal structure
Cell lengths 2.789, 2.789, 8.291 Å; angles 90.00, 90.00, 90.00 degrees
Fractional coordinates of all 4 atoms:
Re 0.000 0.000 0.000
Ag 0.000 0.000 0.470
Ag 0.500 0.500 0.736
Rh 0.500 0.500 0.207

The 10 most intense peaks (2θ from 10° to 90°), sorted by position:
d_spacing  Position (°2θ)  I/Imax
8.291  10.67  18
2.314  38.92  100
2.073  43.67  16
1.972  46.03  32
1.963  46.25  5
1.429  65.31  18
1.394  67.13  10
1.238  77.02  9
1.194  80.41  23
1.157  83.57  9

Diffraction record for Mn5Rh. The powder XRD pattern is calculated, not measured: it uses a crystal structure in Alexandria, relaxed with PBE and Cu Kα (λ = 1.5418 Å).
Kinematic intensities with the Lorentz-polarization factor, no thermal factor.

Crystal structure
Cell lengths 4.059, 2.568, 13.152 Å; angles 90.00, 90.00, 90.00 degrees
Fractional coordinates of all 12 atoms:
Mn 0.000 0.000 0.000
Mn 0.000 0.000 0.323
Mn 0.000 0.000 0.662
Mn 0.000 0.500 0.162
Mn 0.000 0.500 0.500
Mn 0.000 0.500 0.823
Mn 0.500 0.000 0.110
Mn 0.500 0.000 0.769
Mn 0.500 0.500 0.269
Mn 0.500 0.500 0.610
Rh 0.500 0.000 0.441
Rh 0.500 0.500 0.941

The 10 most intense peaks (2θ from 10° to 90°), sorted by position:
d_spacing  Position (°2θ)  I/Imax
2.216  40.72  25
2.192  41.18  13
2.029  44.65  38
1.945  46.70  100
1.929  47.12  46
1.497  62.01  13
1.284  73.79  8
1.270  74.74  14
1.155  83.76  16
1.151  84.07  8

Diffraction record for AcTl2InI6. The powder XRD pattern is calculated, not measured: it uses a crystal structure in Alexandria, relaxed with PBE and Cu Kα (λ = 1.5418 Å).
Kinematic intensities with the Lorentz-polarization factor, no thermal factor.

Crystal structure
Cell lengths 8.432, 9.314, 14.346 Å; angles 90.00, 121.52, 90.00 degrees
Fractional coordinates of all 20 atoms:
Ac 0.000 0.000 0.000
Ac 0.000 0.500 0.500
Tl 0.313 0.096 0.781
Tl 0.313 0.404 0.281
Tl 0.687 0.596 0.719
Tl 0.687 0.904 0.219
In 0.500 0.000 0.500
In 0.500 0.500 0.000
I 0.091 0.064 0.247
I 0.091 0.436 0.747
I 0.253 0.707 0.087
I 0.253 0.793 0.587
I 0.375 0.173 0.052
I 0.375 0.327 0.552
I 0.625 0.673 0.448
I 0.625 0.827 0.948
I 0.747 0.207 0.413
I 0.747 0.293 0.913
I 0.909 0.564 0.253
I 0.909 0.936 0.753

The 10 most intense peaks (2θ from 10° to 90°), sorted by position:
d_spacing  Position (°2θ)  I/Imax
4.497  19.74  59
4.250  20.90  67
3.731  23.85  58
3.563  24.99  60
3.449  25.83  56
3.329  26.78  70
3.063  29.16  100
2.848  31.41  73
2.526  35.54  61
2.395  37.56  79

Diffraction record for HgB4S7. The powder XRD pattern is calculated, not measured: it uses a crystal structure in Alexandria, relaxed with PBE and Cu Kα (λ = 1.5418 Å).
Kinematic intensities with the Lorentz-polarization factor, no thermal factor.

Crystal structure
Cell lengths 13.456, 5.625, 5.353 Å; angles 90.00, 90.00, 90.00 degrees
Fractional coordinates of all 24 atoms:
Hg 0.000 0.123 0.000
Hg 0.500 0.877 0.500
B 0.125 0.665 0.813
B 0.248 0.834 0.296
B 0.252 0.166 0.796
B 0.375 0.335 0.313
B 0.625 0.335 0.313
B 0.748 0.166 0.796
B 0.752 0.834 0.296
B 0.875 0.665 0.813
S 0.000 0.769 0.666
S 0.124 0.732 0.164
S 0.135 0.339 0.709
S 0.236 0.840 0.669
S 0.264 0.160 0.169
S 0.365 0.661 0.209
S 0.376 0.268 0.664
S 0.500 0.231 0.166
S 0.624 0.268 0.664
S 0.635 0.661 0.209
S 0.736 0.160 0.169
S 0.764 0.840 0.669
S 0.865 0.339 0.709
S 0.876 0.732 0.164

The 10 most intense peaks (2θ from 10° to 90°), sorted by position:
d_spacing  Position (°2θ)  I/Imax
6.728  13.16  40
5.625  15.75  31
4.974  17.83  100
3.726  23.88  48
3.438  25.92  31
3.361  26.52  42
2.887  30.97  37
2.541  35.32  73
2.489  36.09  58
2.381  37.78  41

Diffraction record for KMg4Tc. The powder XRD pattern is calculated, not measured: it uses a crystal structure in Alexandria, relaxed with PBE and Cu Kα (λ = 1.5418 Å).
Kinematic intensities with the Lorentz-polarization factor, no thermal factor.

Crystal structure
Cell lengths 5.899, 5.899, 5.899 Å; angles 60.00, 60.00, 60.00 degrees
Fractional coordinates of all 6 atoms:
K 0.000 0.000 0.000
Mg 0.131 0.623 0.623
Mg 0.623 0.131 0.623
Mg 0.623 0.623 0.131
Mg 0.623 0.623 0.623
Tc 0.250 0.250 0.250

The 10 most intense peaks (2θ from 10° to 90°), sorted by position:
d_spacing  Position (°2θ)  I/Imax
4.817  18.42  31
4.172  21.30  12
2.950  30.30  64
2.516  35.69  100
2.408  37.34  17
1.703  53.83  23
1.606  57.39  32
1.475  63.03  21
1.272  74.59  11
1.115  87.49  11

Diffraction record for Ca4Cd5Hg6. The powder XRD pattern is calculated, not measured: it uses a crystal structure in Alexandria, relaxed with PBE and Cu Kα (λ = 1.5418 Å).
Kinematic intensities with the Lorentz-polarization factor, no thermal factor.

Crystal structure
Cell lengths 12.421, 12.421, 16.051 Å; angles 90.00, 90.00, 161.43 degrees
Fractional coordinates of all 30 atoms:
Ca 0.020 0.980 0.500
Ca 0.055 0.945 0.772
Ca 0.131 0.869 0.273
Ca 0.184 0.816 0.929
Ca 0.816 0.184 0.429
Ca 0.869 0.131 0.773
Ca 0.945 0.055 0.272
Ca 0.980 0.020 0.000
Cd 0.179 0.821 0.616
Cd 0.304 0.696 0.598
Cd 0.331 0.669 0.266
Cd 0.368 0.632 0.952
Cd 0.467 0.533 0.662
Cd 0.533 0.467 0.162
Cd 0.632 0.368 0.452
Cd 0.669 0.331 0.766
Cd 0.696 0.304 0.098
Cd 0.821 0.179 0.116
Hg 0.103 0.897 0.078
Hg 0.219 0.781 0.438
Hg 0.266 0.734 0.770
Hg 0.414 0.586 0.121
Hg 0.420 0.580 0.426
Hg 0.464 0.536 0.844
Hg 0.536 0.464 0.344
Hg 0.580 0.420 0.926
Hg 0.586 0.414 0.621
Hg 0.734 0.266 0.270
Hg 0.781 0.219 0.938
Hg 0.897 0.103 0.578

The 10 most intense peaks (2θ from 10° to 90°), sorted by position:
d_spacing  Position (°2θ)  I/Imax
4.871  18.21  37
3.957  22.47  45
3.512  25.36  55
2.895  30.89  33
2.683  33.39  100
2.675  33.50  34
2.455  36.61  53
2.424  37.10  40
2.366  38.04  53
2.004  45.24  44

What did the eleventh record say?
Diffraction record for KMg4Tc. The powder XRD pattern is calculated, not measured: it uses a crystal structure in Alexandria, relaxed with PBE and Cu Kα (λ = 1.5418 Å).
Kinematic intensities with the Lorentz-polarization factor, no thermal factor.

Crystal structure
Cell lengths 5.899, 5.899, 5.899 Å; angles 60.00, 60.00, 60.00 degrees
Fractional coordinates of all 6 atoms:
K 0.000 0.000 0.000
Mg 0.131 0.623 0.623
Mg 0.623 0.131 0.623
Mg 0.623 0.623 0.131
Mg 0.623 0.623 0.623
Tc 0.250 0.250 0.250

The 10 most intense peaks (2θ from 10° to 90°), sorted by position:
d_spacing  Position (°2θ)  I/Imax
4.817  18.42  31
4.172  21.30  12
2.950  30.30  64
2.516  35.69  100
2.408  37.34  17
1.703  53.83  23
1.606  57.39  32
1.475  63.03  21
1.272  74.59  11
1.115  87.49  11